The following is a simulated X-ray diffraction stick pattern of BaCN2. It was derived from a cell relaxed with PBE, using CuKα.
Intensities are scaled so that the largest is 100.

Most intense lines, 2θ from 10° to 90°, sorted by position:
11.65°, d = 7.595 Å, rel. 21, (1 1 0); 21.42°, d = 4.149 Å, rel. 100, (2 1 1); 23.43°, d = 3.797 Å, rel. 27, (2 2 0); 24.60°, d = 3.619 Å, rel. 30, (0 1 2); 29.77°, d = 3.001 Å, rel. 21, (1 2 2); 31.16°, d = 2.870 Å, rel. 59, (4 1 0); 36.28°, d = 2.476 Å, rel. 21, (0 4 2); 37.76°, d = 2.382 Å, rel. 19, (1 1 3); 41.90°, d = 2.156 Å, rel. 27, (5 0 2); 43.22°, d = 2.093 Å, rel. 18, (2 2 3); 51.26°, d = 1.782 Å, rel. 19, (3 3 3); 51.57°, d = 1.772 Å, rel. 15, (6 2 1)

Crystal structure
Cell: 15.1891 15.1891 7.5274 Å, 90.00 90.00 120.00°
Space group R-3c (No. 167, hexagonal axes)
Symmetry-distinct sites (fractional):
Ba 0.0000 0.2101 0.2500 [18 per cell]
C 0.0000 0.2163 0.7500 [18 per cell]
N 0.0489 0.2401 0.8911 [36 per cell]

---

The following is a simulated X-ray diffraction stick pattern of HoCdPd2. It was derived from a cell relaxed with PBE, using CuKα.
Intensities are scaled so that the largest is 100.

Most intense lines, 2θ from 10° to 90°, sorted by position:
22.74°, d = 3.911 Å, rel. 2, (1 1 1); 26.31°, d = 3.387 Å, rel. 2, (2 0 0); 37.56°, d = 2.395 Å, rel. 100, (2 2 0); 44.36°, d = 2.042 Å, rel. 1, (3 1 1); 46.44°, d = 1.955 Å, rel. 1, (2 2 2); 54.16°, d = 1.693 Å, rel. 17, (4 0 0); 59.49°, d = 1.554 Å, rel. 1, (3 3 1); 61.19°, d = 1.515 Å, rel. 1, (4 2 0); 67.78°, d = 1.383 Å, rel. 34, (4 2 2); 80.16°, d = 1.197 Å, rel. 11, (4 4 0)

Crystal structure
Cell: 6.773 6.773 6.773 Å, 90.00 90.00 90.00°
Space group Fm-3m (No. 225)
Symmetry-distinct sites (fractional):
Ho 0.000 0.000 0.000 [4 per cell]
Cd 0.000 0.000 0.500 [4 per cell]
Pd 0.250 0.250 0.250 [8 per cell]

---

The following is a simulated X-ray diffraction stick pattern of Sr10P6BrClO24. It was derived from a cell relaxed with PBE, using CuKα.
Intensities are scaled so that the largest is 100.

Most intense lines, 2θ from 10° to 90°, sorted by position:
29.80°, d = 2.998 Å, rel. 82, (2 1 1); 30.30°, d = 2.950 Å, rel. 100, (2 -1 2); 30.82°, d = 2.901 Å, rel. 67, (3 0 0); 43.77°, d = 2.068 Å, rel. 41, (2 2 2); 46.47°, d = 1.954 Å, rel. 25, (3 -2 3); 47.20°, d = 1.926 Å, rel. 20, (5 -3 1); 47.89°, d = 1.899 Å, rel. 20, (4 1 0); 48.75°, d = 1.868 Å, rel. 14, (4 0 2); 50.07°, d = 1.822 Å, rel. 14, (0 0 4); 59.96°, d = 1.543 Å, rel. 22, (3 0 4); 71.80°, d = 1.315 Å, rel. 19, (1 4 4); 72.63°, d = 1.302 Å, rel. 14, (7 -2 2)

Crystal structure
Cell: 10.0503 10.0503 7.2866 Å, 90.00 90.00 120.00°
Space group P-3 (No. 147)
Symmetry-distinct sites (fractional):
Sr 0.0072 0.2609 0.2481 [6 per cell]
Sr 0.3333 0.6667 0.0003 [2 per cell]
Sr 0.3333 0.6667 0.4997 [2 per cell]
P 0.0320 0.4078 0.7498 [6 per cell]
Br 0.0000 0.0000 0.5000 [1 per cell]
Cl 0.0000 0.0000 0.0000 [1 per cell]
O 0.0832 0.3543 0.9229 [6 per cell]
O 0.0834 0.3548 0.5766 [6 per cell]
O 0.1221 0.5878 0.7502 [6 per cell]
O 0.1447 0.6560 0.2499 [6 per cell]

---

The following is a simulated X-ray diffraction stick pattern of Sc. It was derived from a cell relaxed with PBE, using CuKα.
Intensities are scaled so that the largest is 100.

Most intense lines, 2θ from 10° to 90°, sorted by position:
33.34°, d = 2.687 Å, rel. 51, (0 1 0); 33.52°, d = 2.673 Å, rel. 100, (1 0 0); 34.61°, d = 2.592 Å, rel. 46, (1 1 1); 38.98°, d = 2.311 Å, rel. 64, (1 0 1); 39.56°, d = 2.278 Å, rel. 31, (1 1 0); 55.46°, d = 1.657 Å, rel. 10, (1 -1 0); 55.88°, d = 1.645 Å, rel. 10, (0 1 -1); 56.13°, d = 1.639 Å, rel. 10, (1 0 -1); 57.13°, d = 1.612 Å, rel. 9, (1 1 2); 57.34°, d = 1.607 Å, rel. 9, (1 2 1); 67.18°, d = 1.394 Å, rel. 16, (2 0 1); 70.45°, d = 1.337 Å, rel. 9, (2 0 0)

Crystal structure
Cell: 3.202 3.216 3.226 Å, 61.44 61.31 62.16°
Space group P-1 (No. 2)
Symmetry-distinct sites (fractional):
Sc 0.000 0.000 0.000 [1 per cell]